For SmTlP, a cell relaxed with PBE gives the computed powder diffraction line list in this record (Cu Kα X-rays).
Intensities are scaled so that the largest is 100.

Most intense lines, 2θ from 10° to 80°, low angle first:
2θ 10.95, 8.080 Å, rel. 28, (0 0 3); 2θ 25.43, 3.503 Å, rel. 100, (1 0 4); 2θ 33.25, 2.695 Å, rel. 46, (0 0 9); 2θ 36.25, 2.478 Å, rel. 92, (1 1 0); 2θ 44.79, 2.023 Å, rel. 23, (0 2 4); 2θ 50.00, 1.824 Å, rel. 37, (1 1 9); 2θ 58.92, 1.567 Å, rel. 21, (2 1 4); 2θ 65.20, 1.431 Å, rel. 20, (3 0 0)

Crystal structure
Cell: 4.9574 4.9574 24.2411 Å, 90.00 90.00 120.00°
Space group R-3m (No. 166, hexagonal axes)
Symmetry-distinct sites (fractional):
Sm (0.0000, 0.0000, 0.1077) (multiplicity 6)
Tl (0.0000, 0.0000, 0.3534) (multiplicity 6)
P (0.0000, 0.0000, 0.2219) (multiplicity 6)

For Zr4BeRh, a cell relaxed with PBE gives the computed powder diffraction line list in this record (Cu Kα X-rays).
Intensities are scaled so that the largest is 100.

Most intense lines, 2θ from 10° to 80°, low angle first:
2θ 21.84, 4.070 Å, rel. 16, (1 0 1); 2θ 34.81, 2.577 Å, rel. 100, (2 1 1); 2θ 39.95, 2.257 Å, rel. 16, (1 1 2); 2θ 42.94, 2.106 Å, rel. 26, (3 1 0); 2θ 44.51, 2.035 Å, rel. 21, (2 0 2); 2θ 60.03, 1.541 Å, rel. 14, (4 1 1); 2θ 62.52, 1.486 Å, rel. 16, (2 1 3); 2θ 70.25, 1.340 Å, rel. 14, (3 3 2)

Crystal structure
Cell: 6.661 6.661 5.142 Å, 90.00 90.00 90.00°
Space group I422 (No. 97)
Symmetry-distinct sites (fractional):
Zr (0.161, 0.339, 0.250) (multiplicity 8)
Be (0.000, 0.000, 0.000) (multiplicity 2)
Rh (0.000, 0.000, 0.500) (multiplicity 2)

For Tb2Ho4ThSc, a cell relaxed with PBE gives the computed powder diffraction line list in this record (Cu Kα X-rays).
Intensities are scaled so that the largest is 100.

Most intense lines, 2θ from 10° to 80°, low angle first:
2θ 30.69, 2.913 Å, rel. 60, (2 0 0); 2θ 32.91, 2.722 Å, rel. 100, (1 1 2); 2θ 43.95, 2.060 Å, rel. 23, (2 2 0); 2θ 55.98, 1.643 Å, rel. 44, (3 1 2); 2θ 60.12, 1.539 Å, rel. 18, (2 0 4); 2θ 69.01, 1.361 Å, rel. 12, (2 2 4); 2θ 72.56, 1.303 Å, rel. 10, (4 2 0); 2θ 73.78, 1.284 Å, rel. 10, (3 3 2)

Crystal structure
Cell: 5.827 5.827 7.251 Å, 90.00 90.00 90.00°
Space group P4/mmm (No. 123)
Symmetry-distinct sites (fractional):
Tb (0.000, 0.000, 0.000) (multiplicity 1)
Tb (0.500, 0.500, 0.000) (multiplicity 1)
Ho (0.000, 0.500, 0.254) (multiplicity 4)
Th (0.000, 0.000, 0.500) (multiplicity 1)
Sc (0.500, 0.500, 0.500) (multiplicity 1)

For AgH14C3S3N6ClO, a cell relaxed with PBE gives the computed powder diffraction line list in this record (Cu Kα X-rays).
Intensities are scaled so that the largest is 100.

Most intense lines, 2θ from 10° to 80°, low angle first:
2θ 10.66, 8.297 Å, rel. 65, (0 1 -1); 2θ 13.15, 6.731 Å, rel. 88, (0 1 1); 2θ 16.23, 5.460 Å, rel. 100, (1 0 1); 2θ 20.30, 4.375 Å, rel. 63, (1 1 1); 2θ 21.41, 4.150 Å, rel. 94, (1 0 2); 2θ 24.19, 3.679 Å, rel. 52, (1 2 -1); 2θ 26.38, 3.379 Å, rel. 63, (1 2 -2); 2θ 32.37, 2.766 Å, rel. 49, (0 3 -3)

Crystal structure
Cell: 6.484 9.980 11.707 Å, 101.72 91.95 97.08°
Space group P-1 (No. 2)
Symmetry-distinct sites (fractional):
Ag (0.150, 0.048, 0.384) (multiplicity 2)
H (0.005, 0.347, 0.105) (multiplicity 2)
H (0.124, 0.750, 0.629) (multiplicity 2)
H (0.137, 0.628, 0.278) (multiplicity 2)
H (0.163, 0.891, 0.158) (multiplicity 2)
H (0.247, 0.750, 0.063) (multiplicity 2)
H (0.271, 0.380, 0.080) (multiplicity 2)
H (0.281, 0.623, 0.574) (multiplicity 2)
H (0.290, 0.241, 0.770) (multiplicity 2)
H (0.318, 0.569, 0.364) (multiplicity 2)
H (0.319, 0.399, 0.613) (multiplicity 2)
H (0.379, 0.515, 0.724) (multiplicity 2)
H (0.424, 0.115, 0.210) (multiplicity 2)
H (0.447, 0.331, 0.893) (multiplicity 2)
H (0.493, 0.748, 0.859) (multiplicity 2)
C (0.113, 0.695, 0.451) (multiplicity 2)
C (0.192, 0.214, 0.156) (multiplicity 2)
C (0.440, 0.837, 0.208) (multiplicity 2)
S (0.014, 0.888, 0.800) (multiplicity 2)
S (0.077, 0.203, 0.574) (multiplicity 2)
S (0.493, 0.962, 0.334) (multiplicity 2)
N (0.153, 0.320, 0.109) (multiplicity 2)
N (0.183, 0.691, 0.558) (multiplicity 2)
N (0.186, 0.617, 0.358) (multiplicity 2)
N (0.261, 0.818, 0.142) (multiplicity 2)
N (0.388, 0.188, 0.165) (multiplicity 2)
N (0.418, 0.248, 0.825) (multiplicity 2)
Cl (0.302, 0.568, 0.911) (multiplicity 2)
O (0.411, 0.488, 0.641) (multiplicity 2)

For RuPbBrCl6, a cell relaxed with PBE gives the computed powder diffraction line list in this record (Cu Kα X-rays).
Intensities are scaled so that the largest is 100.

Most intense lines, 2θ from 10° to 80°, low angle first:
2θ 11.76, 7.523 Å, rel. 79, (0 0 1); 2θ 19.18, 4.626 Å, rel. 100, (1 0 1); 2θ 26.31, 3.387 Å, rel. 30, (1 1 0); 2θ 28.91, 3.089 Å, rel. 33, (2 -1 1); 2θ 32.77, 2.733 Å, rel. 25, (2 0 1); 2θ 35.67, 2.517 Å, rel. 71, (2 -1 2); 2θ 42.50, 2.127 Å, rel. 28, (3 -1 1); 2θ 46.43, 1.956 Å, rel. 22, (3 0 0)

Crystal structure
Cell: 6.7745 6.7745 7.5234 Å, 90.00 90.00 120.00°
Space group P312 (No. 149)
Symmetry-distinct sites (fractional):
Ru (0.0000, 0.0000, 0.0000) (multiplicity 1)
Pb (0.6667, 0.3333, 0.0000) (multiplicity 1)
Br (0.3333, 0.6667, 0.5000) (multiplicity 1)
Cl (0.2837, 0.0017, 0.1809) (multiplicity 6)